(1)
# KLuH8C4O12
Computed powder diffractogram, Cu Ka. Input: a DFT-relaxed cell (PBE, the Materials Project).
No peak broadening, texture or thermal motion is included.

Principal peaks in the range 10° ≤ 2θ ≤ 90°, sorted by position:
- 12.46°, rel. 100.0
- 15.57°, rel. 88.8
- 19.99°, rel. 26.2
- 22.47°, rel. 57.7
- 25.44°, rel. 45.4
- 31.44°, rel. 28.5
- 31.72°, rel. 44.8
- 38.99°, rel. 27.0
- 45.26°, rel. 32.9
- 50.91°, rel. 21.3

Cell and atoms:
abc: 9.242 9.242 9.242
angles: 103.99 103.99 121.11
Element x y z (fractional)
K: 0.375 0.125 0.250
K: 0.625 0.875 0.750
Lu: 0.125 0.375 0.750
Lu: 0.875 0.625 0.250
H: 0.000 0.160 0.174
H: 0.000 0.840 0.826
H: 0.132 0.235 0.087
H: 0.265 0.852 0.897
H: 0.326 0.500 0.340
H: 0.340 0.014 0.840
H: 0.352 0.956 0.587
H: 0.456 0.368 0.603
H: 0.486 0.826 0.326
H: 0.514 0.174 0.674
H: 0.544 0.632 0.397
H: 0.648 0.044 0.413
H: 0.660 0.986 0.160
H: 0.674 0.500 0.660
H: 0.735 0.148 0.103
H: 0.868 0.765 0.913
C: 0.074 0.603 0.020
C: 0.083 0.055 0.480
C: 0.103 0.583 0.528
C: 0.445 0.426 0.028
C: 0.555 0.574 0.972
C: 0.897 0.417 0.472
C: 0.917 0.945 0.520
C: 0.926 0.397 0.980
O: 0.084 0.727 0.126
O: 0.101 0.958 0.374
O: 0.129 0.688 0.455
O: 0.133 0.235 0.194
O: 0.174 0.629 0.940
O: 0.188 0.234 0.560
O: 0.227 0.601 0.643
O: 0.265 0.959 0.899
O: 0.266 0.326 0.955
O: 0.440 0.633 0.399
O: 0.458 0.584 0.857
O: 0.459 0.060 0.694
O: 0.541 0.940 0.306
O: 0.542 0.416 0.143
O: 0.560 0.367 0.601
O: 0.734 0.674 0.045
O: 0.735 0.041 0.101
O: 0.773 0.399 0.357
O: 0.812 0.766 0.440
O: 0.826 0.371 0.060
O: 0.867 0.765 0.806
O: 0.871 0.312 0.545
O: 0.899 0.042 0.626
O: 0.916 0.273 0.874

(2)
# K2MgH8C2O10
Computed powder diffractogram, Cu Ka. Input: a DFT-relaxed cell (PBE, the Materials Project).
No peak broadening, texture or thermal motion is included.

Principal peaks in the range 10° ≤ 2θ ≤ 90°, sorted by position:
- 13.89°, rel. 21.6
- 21.22°, rel. 19.2
- 27.73°, rel. 20.3
- 28.00°, rel. 45.4
- 29.58°, rel. 100.0
- 29.78°, rel. 24.2
- 34.98°, rel. 40.5
- 36.10°, rel. 36.6
- 36.41°, rel. 19.7
- 43.44°, rel. 42.0

Cell and atoms:
abc: 6.948 6.269 12.259
angles: 90.00 113.45 90.00
Element x y z (fractional)
K: 0.233 0.149 0.317
K: 0.233 0.351 0.817
K: 0.767 0.649 0.183
K: 0.767 0.851 0.683
Mg: 0.000 0.000 0.000
Mg: 0.000 0.500 0.500
H: 0.196 0.658 0.362
H: 0.196 0.842 0.862
H: 0.208 0.699 0.978
H: 0.208 0.801 0.478
H: 0.302 0.176 0.577
H: 0.302 0.324 0.077
H: 0.424 0.104 0.113
H: 0.424 0.396 0.613
H: 0.576 0.604 0.387
H: 0.576 0.896 0.887
H: 0.698 0.676 0.923
H: 0.698 0.824 0.423
H: 0.792 0.199 0.522
H: 0.792 0.301 0.022
H: 0.804 0.158 0.138
H: 0.804 0.342 0.638
C: 0.257 0.651 0.176
C: 0.257 0.849 0.676
C: 0.743 0.151 0.324
C: 0.743 0.349 0.824
O: 0.111 0.717 0.406
O: 0.111 0.783 0.906
O: 0.122 0.694 0.648
O: 0.122 0.806 0.148
O: 0.290 0.167 0.057
O: 0.290 0.333 0.557
O: 0.318 0.563 0.281
O: 0.318 0.937 0.781
O: 0.331 0.581 0.100
O: 0.331 0.919 0.600
O: 0.669 0.081 0.400
O: 0.669 0.419 0.900
O: 0.682 0.063 0.219
O: 0.682 0.437 0.719
O: 0.710 0.667 0.443
O: 0.710 0.833 0.943
O: 0.878 0.194 0.852
O: 0.878 0.306 0.352
O: 0.889 0.217 0.094
O: 0.889 0.283 0.594

(3)
# KH3CN
Computed powder diffractogram, Cu Ka. Input: a DFT-relaxed cell (PBE, the Materials Project).
No peak broadening, texture or thermal motion is included.

Principal peaks in the range 10° ≤ 2θ ≤ 90°, sorted by position:
- 19.46°, rel. 26.3
- 20.81°, rel. 28.3
- 26.14°, rel. 47.7
- 26.78°, rel. 42.2
- 29.24°, rel. 100.0
- 31.88°, rel. 23.5
- 32.04°, rel. 74.5
- 33.72°, rel. 25.7
- 34.41°, rel. 34.5
- 35.00°, rel. 60.8

Cell and atoms:
abc: 7.259 5.664 8.643
angles: 90.00 117.09 90.00
Element x y z (fractional)
K: 0.182 0.082 0.401
K: 0.182 0.418 0.901
K: 0.818 0.582 0.099
K: 0.818 0.918 0.599
H: 0.318 0.741 0.718
H: 0.318 0.759 0.218
H: 0.328 0.629 0.394
H: 0.328 0.871 0.894
H: 0.484 0.081 0.162
H: 0.484 0.419 0.662
H: 0.516 0.581 0.338
H: 0.516 0.919 0.838
H: 0.672 0.129 0.106
H: 0.672 0.371 0.606
H: 0.682 0.241 0.782
H: 0.682 0.259 0.282
C: 0.056 0.578 0.490
C: 0.056 0.922 0.990
C: 0.944 0.078 0.010
C: 0.944 0.422 0.510
N: 0.417 0.706 0.344
N: 0.417 0.794 0.844
N: 0.583 0.206 0.156
N: 0.583 0.294 0.656